Starting from the GGA-PBE geometry in Alexandria, the powder diffraction line list of Pm2HoTm5Sc was calculated for Cu Kα X-rays.
No peak broadening, texture or thermal motion is included.

Crystal structure
```
data_Pm2HoTm5Sc
_symmetry_space_group_name_H-M 'I 4/m c m'
_symmetry_Int_Tables_number 140
_symmetry_space_group_name_Hall '-I 4 2c'
_cell_length_a 8.450
_cell_length_b 8.450
_cell_length_c 15.451
_cell_angle_alpha 90.00
_cell_angle_beta 90.00
_cell_angle_gamma 90.00
loop_
_atom_site_label
_atom_site_fract_x
_atom_site_fract_y
_atom_site_fract_z
Pm1 0.119 0.381 0.000
Ho1 0.000 0.000 0.250
Tm1 0.000 0.000 0.000
Tm2 0.209 0.291 0.358
Sc1 0.000 0.500 0.250
```

Most intense lines, 2θ from 15° to 90°, most intense first:
two_theta	Rel. int.	hkl
31.38	100	2 0 4
29.31	65	2 1 3
29.91	52	2 2 0
33.54	28	3 1 0
54.03	20	4 2 4
41.06	19	2 0 6
38.87	19	3 2 1
47.76	17	4 1 3
57.36	16	3 2 7
60.82	15	5 1 4

---

Starting from the GGA-PBE geometry in Alexandria, the powder diffraction line list of Tm3TeSeS was calculated for Cu Kα X-rays.
No peak broadening, texture or thermal motion is included.

Crystal structure
```
data_Tm3TeSeS
_symmetry_space_group_name_H-M 'C 1 2/c 1'
_symmetry_Int_Tables_number 15
_cell_length_a 6.741
_cell_length_b 14.213
_cell_length_c 6.688
_cell_angle_alpha 90.00
_cell_angle_beta 108.27
_cell_angle_gamma 90.00
loop_
_symmetry_equiv_pos_as_xyz
'x,y,z'
'-x,-y,-z'
'-x,y,-z+1/2'
'x,-y,z+1/2'
'x+1/2,y+1/2,z'
'-x+1/2,-y+1/2,-z'
'-x+1/2,y+1/2,-z+1/2'
'x+1/2,-y+1/2,z+1/2'
loop_
_atom_site_label
_atom_site_fract_x
_atom_site_fract_y
_atom_site_fract_z
Tm1 0.000 0.245 0.250
Tm2 0.236 0.073 0.999
Te1 0.000 0.252 0.750
Se1 0.000 0.438 0.250
S1 0.000 0.059 0.250
```

Most intense lines, 2θ from 15° to 90°, most intense first:
two_theta	Rel. int.	hkl
32.92	100	2 0 -2
37.99	94	0 6 0
30.63	75	2 2 0
30.84	75	0 2 2
29.51	75	1 3 1
24.92	53	1 3 -1
51.13	48	2 6 -2
23.46	48	1 1 1
46.15	39	2 0 2
37.83	37	2 4 0